For LaRh2Br, the GGA-PBE geometry in Alexandria gives the calculated powder X-ray diffraction pattern in this record (Cu Kα, 1.54184 Å).
Intensities are scaled so that the largest is 100.

Main lines, by intensity (2θ from 10° to 90°):
| 2theta | Rel. int. |
| --- | --- |
| 29.9 | 100 |
| 43.1 | 53 |
| 12.7 | 41 |
| 32.6 | 24 |
| 53.3 | 19 |
| 39.0 | 18 |
| 59.3 | 17 |
| 70.9 | 16 |

Structure:
```
LaRh2Br
1.0
4.1995 0.0000 0.0000
-2.0997 3.6369 0.0000
0.0000 0.0000 20.9276
La Rh Br
3 6 3
Cartesian
0.0000 0.0000 0.0000
0.0000 2.4246 13.9517
2.0997 1.2123 6.9759
0.0000 0.0000 9.2315
0.0000 0.0000 15.6288
0.0000 2.4246 2.2556
0.0000 2.4246 8.6529
2.0997 1.2123 1.6771
2.0997 1.2123 16.2074
0.0000 0.0000 4.9904
0.0000 2.4246 18.9421
2.0997 1.2123 11.9662
```